[1]
Theoretical powder X-ray diffraction pattern of LiCuP4Ru2O14 for Cu Kα (λ = 1.5418 Å), from a structure optimized by DFT (GGA-PBE).
Kinematic intensities with the Lorentz-polarization factor, no thermal factor.

Principal peaks in the range 5° ≤ 2θ ≤ 70°, by angle:
2θ 16.8, d 5.273, I = 65; 2θ 17.8, d 4.993, I = 41; 2θ 19.7, d 4.501, I = 40; 2θ 22.5, d 3.956, I = 47; 2θ 24.6, d 3.615, I = 27; 2θ 26.7, d 3.333, I = 63; 2θ 29.0, d 3.078, I = 100; 2θ 29.2, d 3.059, I = 74; 2θ 30.1, d 2.971, I = 27; 2θ 36.0, d 2.497, I = 32

Crystal structure
Cell: 4.909 6.815 8.405 Å, 92.53 91.79 107.79°
Fractional positions:
Li 0.000 0.000 0.000
Cu 0.580 0.467 0.446
P 0.175 0.706 0.137
P 0.534 0.812 0.668
P 0.603 0.125 0.211
P 0.956 0.226 0.741
Ru 0.070 0.966 0.439
Ru 0.567 0.468 0.937
O 0.050 0.225 0.570
O 0.086 0.704 0.310
O 0.187 0.246 0.876
O 0.304 0.906 0.620
O 0.360 0.948 0.105
O 0.366 0.569 0.116
O 0.421 0.633 0.773
O 0.448 0.182 0.357
O 0.702 0.754 0.525
O 0.712 0.299 0.101
O 0.766 0.366 0.758
O 0.768 0.988 0.779
O 0.842 0.031 0.248
O 0.939 0.693 0.007

[2]
Theoretical powder X-ray diffraction pattern of LiMg6Mo for Cu Kα (λ = 1.5418 Å), from a structure optimized by DFT (GGA-PBE).
Kinematic intensities with the Lorentz-polarization factor, no thermal factor.

Principal peaks in the range 5° ≤ 2θ ≤ 70°, by angle:
2θ 14.5, d 6.089, I = 73; 2θ 25.2, d 3.535, I = 28; 2θ 32.9, d 2.723, I = 14; 2θ 36.0, d 2.492, I = 100; 2θ 39.0, d 2.307, I = 25; 2θ 41.6, d 2.170, I = 17; 2θ 41.9, d 2.156, I = 16; 2θ 42.0, d 2.149, I = 16; 2θ 60.5, d 1.530, I = 10; 2θ 60.6, d 1.527, I = 10

Crystal structure
Cell: 6.089 6.089 4.341 Å, 90.00 90.00 90.18°
Fractional positions:
Li 0.000 0.000 0.000
Mg 0.000 0.500 0.000
Mg 0.262 0.262 0.500
Mg 0.263 0.737 0.500
Mg 0.500 0.000 0.000
Mg 0.737 0.263 0.500
Mg 0.738 0.738 0.500
Mo 0.500 0.500 0.000

[3]
Theoretical powder X-ray diffraction pattern of PrP2Pd2 for Cu Kα (λ = 1.5418 Å), from a structure optimized by DFT (GGA-PBE).
Kinematic intensities with the Lorentz-polarization factor, no thermal factor.

Principal peaks in the range 5° ≤ 2θ ≤ 70°, by angle:
2θ 23.0, d 3.865, I = 19; 2θ 34.3, d 2.611, I = 24; 2θ 35.2, d 2.550, I = 100; 2θ 35.8, d 2.505, I = 16; 2θ 43.2, d 2.094, I = 36; 2θ 50.5, d 1.808, I = 10; 2θ 56.3, d 1.634, I = 11; 2θ 57.3, d 1.607, I = 16; 2θ 62.7, d 1.481, I = 12; 2θ 64.0, d 1.455, I = 14

Crystal structure
Cell: 5.820 5.820 5.820 Å, 137.82 137.82 61.19°
Fractional positions:
Pr 0.000 0.000 0.000
P 0.387 0.387 0.000
P 0.613 0.613 0.000
Pd 0.250 0.750 0.500
Pd 0.750 0.250 0.500

[4]
Theoretical powder X-ray diffraction pattern of Mn5C2 for Cu Kα (λ = 1.5418 Å), from a structure optimized by DFT (GGA-PBE).
Kinematic intensities with the Lorentz-polarization factor, no thermal factor.

Principal peaks in the range 5° ≤ 2θ ≤ 70°, by angle:
2θ 41.5, d 2.176, I = 57; 2θ 43.3, d 2.088, I = 20; 2θ 44.2, d 2.049, I = 100; 2θ 44.4, d 2.039, I = 65; 2θ 45.1, d 2.012, I = 27; 2θ 45.7, d 1.986, I = 35; 2θ 45.9, d 1.976, I = 24; 2θ 48.1, d 1.891, I = 31; 2θ 50.6, d 1.803, I = 21; 2θ 51.7, d 1.769, I = 21

Crystal structure
Cell: 6.228 6.228 4.997 Å, 96.92 96.92 42.11°
Fractional positions:
Mn 0.069 0.931 0.750
Mn 0.126 0.307 0.307
Mn 0.307 0.126 0.807
Mn 0.311 0.488 0.081
Mn 0.488 0.311 0.581
Mn 0.512 0.689 0.419
Mn 0.689 0.512 0.919
Mn 0.693 0.874 0.193
Mn 0.874 0.693 0.693
Mn 0.931 0.069 0.250
C 0.070 0.704 0.421
C 0.296 0.930 0.079
C 0.704 0.070 0.921
C 0.930 0.296 0.579

[5]
Theoretical powder X-ray diffraction pattern of Ho4Fe for Cu Kα (λ = 1.5418 Å), from a structure optimized by DFT (GGA-PBE).
Kinematic intensities with the Lorentz-polarization factor, no thermal factor.

Principal peaks in the range 5° ≤ 2θ ≤ 70°, by angle:
2θ 24.2, d 3.672, I = 3; 2θ 29.8, d 2.998, I = 100; 2θ 34.5, d 2.596, I = 41; 2θ 37.8, d 2.382, I = 8; 2θ 45.4, d 1.999, I = 9; 2θ 49.7, d 1.836, I = 41; 2θ 59.0, d 1.566, I = 39; 2θ 61.9, d 1.499, I = 9; 2θ 64.0, d 1.454, I = 4; 2θ 69.5, d 1.352, I = 4

Crystal structure
Cell: 7.343 7.343 7.343 Å, 60.00 60.00 60.00°
Fractional positions:
Ho 0.220 0.760 0.760
Ho 0.240 0.240 0.240
Ho 0.240 0.240 0.780
Ho 0.240 0.780 0.240
Ho 0.760 0.220 0.760
Ho 0.760 0.760 0.220
Ho 0.760 0.760 0.760
Ho 0.780 0.240 0.240
Fe 0.375 0.375 0.375
Fe 0.625 0.625 0.625

[6]
Theoretical powder X-ray diffraction pattern of SiH12C2N2F6 for Cu Kα (λ = 1.5418 Å), from a structure optimized by DFT (GGA-PBE).
Kinematic intensities with the Lorentz-polarization factor, no thermal factor.

Principal peaks in the range 5° ≤ 2θ ≤ 70°, by angle:
2θ 13.0, d 6.818, I = 17; 2θ 14.7, d 6.016, I = 100; 2θ 16.9, d 5.258, I = 51; 2θ 23.3, d 3.822, I = 9; 2θ 25.8, d 3.458, I = 10; 2θ 26.1, d 3.409, I = 11; 2θ 28.6, d 3.125, I = 9; 2θ 34.1, d 2.629, I = 11; 2θ 37.8, d 2.383, I = 11; 2θ 47.6, d 1.910, I = 13

Crystal structure
Cell: 6.888 6.888 10.014 Å, 98.11 98.11 90.13°
Fractional positions:
Si 0.202 0.798 0.750
Si 0.798 0.202 0.250
H 0.041 0.246 0.518
H 0.104 0.330 0.937
H 0.153 0.181 0.144
H 0.177 0.395 0.644
H 0.181 0.153 0.644
H 0.246 0.041 0.018
H 0.257 0.481 0.072
H 0.330 0.104 0.437
H 0.335 0.365 0.440
H 0.365 0.335 0.940
H 0.395 0.177 0.144
H 0.481 0.257 0.572
H 0.519 0.743 0.428
H 0.605 0.823 0.856
H 0.635 0.665 0.060
H 0.665 0.635 0.560
H 0.670 0.896 0.563
H 0.743 0.519 0.928
H 0.754 0.959 0.982
H 0.819 0.847 0.356
H 0.823 0.605 0.356
H 0.847 0.819 0.856
H 0.896 0.670 0.063
H 0.959 0.754 0.482
C 0.246 0.342 0.002
C 0.342 0.246 0.502
C 0.658 0.754 0.498
C 0.754 0.658 0.998
N 0.175 0.262 0.582
N 0.262 0.175 0.082
N 0.738 0.825 0.918
N 0.825 0.738 0.418
F 0.023 0.618 0.734
F 0.025 0.975 0.750
F 0.180 0.782 0.574
F 0.218 0.820 0.926
F 0.377 0.623 0.750
F 0.382 0.977 0.766
F 0.618 0.023 0.234
F 0.623 0.377 0.250
F 0.782 0.180 0.074
F 0.820 0.218 0.426
F 0.975 0.025 0.250
F 0.977 0.382 0.266

[7]
Theoretical powder X-ray diffraction pattern of TiNb2ZnPb4O12 for Cu Kα (λ = 1.5418 Å), from a structure optimized by DFT (GGA-PBE).
Kinematic intensities with the Lorentz-polarization factor, no thermal factor.

Principal peaks in the range 5° ≤ 2θ ≤ 70°, by angle:
2θ 21.9, d 4.055, I = 20; 2θ 24.4, d 3.654, I = 19; 2θ 30.7, d 2.914, I = 100; 2θ 31.1, d 2.879, I = 25; 2θ 31.3, d 2.855, I = 30; 2θ 38.1, d 2.360, I = 12; 2θ 44.7, d 2.027, I = 29; 2θ 54.3, d 1.690, I = 10; 2θ 55.1, d 1.666, I = 10; 2θ 55.4, d 1.659, I = 20

Crystal structure
Cell: 4.055 4.055 16.765 Å, 90.17 90.17 89.52°
Fractional positions:
Ti 0.000 0.000 0.000
Nb 0.950 0.950 0.752
Nb 0.964 0.964 0.247
Zn 0.968 0.968 0.502
Pb 0.419 0.419 0.398
Pb 0.437 0.437 0.882
Pb 0.469 0.469 0.596
Pb 0.523 0.523 0.112
O 0.470 0.973 0.001
O 0.474 0.981 0.765
O 0.475 0.995 0.502
O 0.483 0.982 0.239
O 0.966 0.966 0.118
O 0.973 0.470 0.001
O 0.974 0.974 0.642
O 0.981 0.474 0.765
O 0.982 0.483 0.239
O 0.987 0.987 0.884
O 0.995 0.475 0.502
O 0.997 0.997 0.360

[8]
Theoretical powder X-ray diffraction pattern of NaSr4Fe10As10 for Cu Kα (λ = 1.5418 Å), from a structure optimized by DFT (GGA-PBE).
Kinematic intensities with the Lorentz-polarization factor, no thermal factor.

Principal peaks in the range 5° ≤ 2θ ≤ 70°, by angle:
2θ 15.2, d 5.824, I = 25; 2θ 31.9, d 2.801, I = 13; 2θ 32.3, d 2.773, I = 100; 2θ 35.6, d 2.524, I = 37; 2θ 44.9, d 2.019, I = 25; 2θ 45.2, d 2.008, I = 7; 2θ 45.8, d 1.981, I = 46; 2θ 57.2, d 1.612, I = 38; 2θ 57.8, d 1.596, I = 35; 2θ 66.8, d 1.401, I = 14

Crystal structure
Cell: 8.553 8.553 8.553 Å, 117.62 117.62 94.17°
Fractional positions:
Na 0.000 0.000 0.000
Sr 0.198 0.605 0.803
Sr 0.395 0.198 0.593
Sr 0.605 0.802 0.407
Sr 0.802 0.395 0.197
Fe 0.050 0.151 0.700
Fe 0.151 0.450 0.100
Fe 0.250 0.750 0.500
Fe 0.350 0.050 0.900
Fe 0.450 0.350 0.300
Fe 0.550 0.650 0.700
Fe 0.650 0.950 0.100
Fe 0.750 0.250 0.500
Fe 0.849 0.550 0.900
Fe 0.950 0.849 0.300
As 0.047 0.847 0.601
As 0.153 0.753 0.199
As 0.247 0.446 0.399
As 0.353 0.353 0.000
As 0.446 0.047 0.199
As 0.554 0.953 0.801
As 0.647 0.647 0.000
As 0.753 0.554 0.601
As 0.847 0.247 0.801
As 0.953 0.153 0.399